1.
The following is a simulated XRD peak list of Ba4Ga22Sn. It was derived from a cell relaxed with GGA-PBE, using copper Kα.

Top 6 peaks for 2θ = 10–90°, low angle first:
- hkl 2 2 2, 2θ 27.98, I = 29
- hkl 3 2 1, 2θ 30.27, I = 100
- hkl 3 3 0, 2θ 34.44, I = 52
- hkl 4 4 0, 2θ 46.50, I = 23
- hkl 5 3 0, 2θ 48.02, I = 20
- hkl 6 1 1, 2θ 50.95, I = 50

Cell and atoms:
```
data_Ba4Ga22Sn
_chemical_formula_sum 'Ba8 Ga44 Sn2'
_space_group_name_H-M_alt 'I -4 3 m'
_space_group_IT_number 217
_space_group_name_Hall 'I -4 2 3'
_cell_length_a 11.0482
_cell_length_b 11.0482
_cell_length_c 11.0482
_cell_angle_alpha 90.00
_cell_angle_beta 90.00
_cell_angle_gamma 90.00
loop_
_atom_site_label
_atom_site_type_symbol
_atom_site_fract_x
_atom_site_fract_y
_atom_site_fract_z
_atom_site_occupancy
Ba1 Ba 0.1894 0.1894 0.1894 1
Ga1 Ga 0.0000 0.2500 0.5000 1
Ga2 Ga 0.0824 0.0824 0.6407 1
Ga3 Ga 0.1401 0.1401 0.8599 1
Sn1 Sn 0.0000 0.0000 0.0000 1
```

2.
The following is a simulated XRD peak list of Ba8Ga2Sn. It was derived from a cell relaxed with GGA-PBE, using copper Kα.

Top 6 peaks for 2θ = 10–90°, low angle first:
- hkl 1 1 4, 2θ 27.50, I = 29
- hkl 0 3 1, 2θ 28.49, I = 17
- hkl 1 2 3, 2θ 28.86, I = 100
- hkl 0 0 6, 2θ 31.05, I = 21
- hkl 2 0 0, 2θ 31.30, I = 27
- hkl 3 2 3, 2θ 54.22, I = 17

Cell and atoms:
```
data_Ba8Ga2Sn
_chemical_formula_sum 'Ba16 Ga4 Sn2'
_space_group_name_H-M_alt 'I m m m'
_space_group_IT_number 71
_space_group_name_Hall '-I 2 2'
_cell_length_a 5.7156
_cell_length_b 9.5584
_cell_length_c 17.2838
_cell_angle_alpha 90.00
_cell_angle_beta 90.00
_cell_angle_gamma 90.00
loop_
_atom_site_label
_atom_site_type_symbol
_atom_site_fract_x
_atom_site_fract_y
_atom_site_fract_z
_atom_site_occupancy
Ba1 Ba 0.0000 0.0000 0.1413 1
Ba2 Ba 0.0000 0.2157 0.3409 1
Ba3 Ba 0.0000 0.3179 0.0000 1
Ga1 Ga 0.0000 0.5000 0.1892 1
Sn1 Sn 0.0000 0.5000 0.5000 1
```